K2NiMo2O8: computed powder diffractogram (Cu Kα X-rays), based on the PBE+U geometry in Alexandria.
Kinematic intensities with the Lorentz-polarization factor, no thermal factor.

Crystal structure
Cell: 10.5965 10.5965 11.0664 Å, 90.00 90.00 132.15°
Element x y z (fractional)
K 0.0369 0.4631 0.7500
K 0.1321 0.8679 0.9280
K 0.3679 0.6321 0.4280
K 0.4631 0.0369 0.2500
K 0.5369 0.9631 0.7500
K 0.6321 0.3679 0.5720
K 0.8679 0.1321 0.0720
K 0.9631 0.5369 0.2500
Ni 0.1781 0.1781 0.5000
Ni 0.3219 0.3219 0.0000
Ni 0.6781 0.6781 0.0000
Ni 0.8219 0.8219 0.5000
Mo 0.0316 0.9684 0.2155
Mo 0.1572 0.8428 0.5350
Mo 0.3428 0.6572 0.0350
Mo 0.4684 0.5316 0.7155
Mo 0.5316 0.4684 0.2845
Mo 0.6572 0.3428 0.9650
Mo 0.8428 0.1572 0.4650
Mo 0.9684 0.0316 0.7845
O 0.0004 0.9996 0.3731
O 0.9996 0.0004 0.6269
O 0.0673 0.2848 0.4976
O 0.1232 0.8768 0.2037
O 0.1614 0.1648 0.1352
O 0.1648 0.1614 0.8648
O 0.1864 0.8136 0.6887
O 0.2152 0.4327 0.0024
O 0.2319 0.7681 0.4403
O 0.2681 0.7319 0.9403
O 0.2848 0.0673 0.5024
O 0.3136 0.6864 0.1887
O 0.3352 0.3386 0.3648
O 0.3386 0.3352 0.6352
O 0.3768 0.6232 0.7037
O 0.4327 0.2152 0.9976
O 0.5004 0.4996 0.1269
O 0.4996 0.5004 0.8731
O 0.5673 0.7848 0.0024
O 0.6232 0.3768 0.2963
O 0.6614 0.6648 0.3648
O 0.6648 0.6614 0.6352
O 0.6864 0.3136 0.8113
O 0.7152 0.9327 0.4976
O 0.7319 0.2681 0.0597
O 0.7681 0.2319 0.5597
O 0.7848 0.5673 0.9976
O 0.8136 0.1864 0.3113
O 0.8352 0.8386 0.1352
O 0.8386 0.8352 0.8648
O 0.8768 0.1232 0.7963
O 0.9327 0.7152 0.5024

Main lines, low angle first (5° ≤ 2θ ≤ 70°):
- 9.1 deg, d = 9.686 Å, rel. 91
- 13.8 deg, d = 6.406 Å, rel. 30
- 19.0 deg, d = 4.678 Å, rel. 29
- 20.7 deg, d = 4.297 Å, rel. 46
- 25.8 deg, d = 3.447 Å, rel. 33
- 26.7 deg, d = 3.339 Å, rel. 54
- 27.6 deg, d = 3.229 Å, rel. 32
- 27.9 deg, d = 3.203 Å, rel. 100
- 28.9 deg, d = 3.087 Å, rel. 40
- 42.1 deg, d = 2.147 Å, rel. 25